This entry pairs a crystal structure of Tb5Y2Ru5 with its theoretical XRD peak list. Radiation: Cu Kα (λ = 1.5418 Å). Structure: a crystal structure in Alexandria, relaxed with PBE.

Cell and atoms:
```
data_Tb5Y2Ru5
_space_group_name_H-M_alt 'C 1 2/m 1'
_space_group_IT_number 12
_space_group_name_Hall '-C 2y'
_cell_length_a 8.365
_cell_length_b 4.824
_cell_length_c 13.735
_cell_angle_alpha 90.00
_cell_angle_beta 101.63
_cell_angle_gamma 90.00
loop_
_atom_site_label
_atom_site_type_symbol
_atom_site_fract_x
_atom_site_fract_y
_atom_site_fract_z
_atom_site_occupancy
Tb1 Tb 0.000 0.000 0.000 1
Tb2 Tb 0.191 0.000 0.572 1
Tb3 Tb 0.215 0.500 0.144 1
Y1 Y 0.072 0.500 0.716 1
Ru1 Ru 0.000 0.500 0.500 1
Ru2 Ru 0.117 0.000 0.351 1
Ru3 Ru 0.145 0.500 0.935 1
```

Most intense lines, 2θ from 10° to 90°, by intensity:
d = 2.413 Å, I = 1000, hkl 0 2 0
d = 2.492 Å, I = 374, hkl 1 1 4
d = 2.903 Å, I = 253, hkl 2 0 -4
d = 2.758 Å, I = 231, hkl 2 0 3
d = 2.373 Å, I = 194, hkl 2 0 4
d = 1.393 Å, I = 174, hkl 6 0 -2
d = 6.727 Å, I = 164, hkl 0 0 2
d = 1.734 Å, I = 123, hkl 4 0 3
d = 1.408 Å, I = 122, hkl 1 3 4
d = 2.064 Å, I = 116, hkl 2 0 5

=====

This entry pairs a crystal structure of ZrF4 with its theoretical XRD peak list. Radiation: Cu Kα (λ = 1.5418 Å). Structure: a crystal structure in Alexandria, relaxed with PBE.

Cell and atoms:
```
data_ZrF4
_space_group_name_H-M_alt 'I 41/a m d'
_space_group_IT_number 141
_cell_length_a 6.629
_cell_length_b 6.629
_cell_length_c 5.795
_cell_angle_alpha 90.00
_cell_angle_beta 90.00
_cell_angle_gamma 90.00
loop_
_space_group_symop_operation_xyz
'x,y,z'
'-x,-y,-z'
'-y+1/4,x+3/4,z+1/4'
'y+1/4,-x+3/4,-z+1/4'
'-x+1/2,-y,z+1/2'
'x+1/2,y,-z+1/2'
'y+1/4,-x+1/4,z+3/4'
'-y+1/4,x+1/4,-z+3/4'
'x,-y,-z'
'-x,y,z'
'-y+1/4,-x+1/4,-z+3/4'
'y+1/4,x+1/4,z+3/4'
'-x+1/2,y,-z+1/2'
'x+1/2,-y,z+1/2'
'y+1/4,x+3/4,-z+1/4'
'-y+1/4,-x+3/4,z+1/4'
'x+1/2,y+1/2,z+1/2'
'-x+1/2,-y+1/2,-z+1/2'
'-y+3/4,x+1/4,z+3/4'
'y+3/4,-x+1/4,-z+3/4'
'-x,-y+1/2,z'
'x,y+1/2,-z'
'y+3/4,-x+3/4,z+1/4'
'-y+3/4,x+3/4,-z+1/4'
'x+1/2,-y+1/2,-z+1/2'
'-x+1/2,y+1/2,z+1/2'
'-y+3/4,-x+3/4,-z+1/4'
'y+3/4,x+3/4,z+1/4'
'-x,y+1/2,-z'
'x,-y+1/2,z'
'y+3/4,x+1/4,-z+3/4'
'-y+3/4,-x+1/4,z+3/4'
loop_
_atom_site_label
_atom_site_type_symbol
_atom_site_fract_x
_atom_site_fract_y
_atom_site_fract_z
_atom_site_occupancy
Zr1 Zr 0.000 0.250 0.375 1
F1 F 0.000 0.061 0.690 1
```

Most intense lines, 2θ from 10° to 90°, by intensity:
d = 4.363 Å, I = 1000, hkl 1 0 1
d = 3.314 Å, I = 609, hkl 2 0 0
d = 2.065 Å, I = 358, hkl 3 0 1
d = 1.698 Å, I = 345, hkl 3 1 2
d = 2.465 Å, I = 260, hkl 1 1 2
d = 1.752 Å, I = 254, hkl 3 2 1
d = 1.855 Å, I = 223, hkl 1 0 3
d = 2.639 Å, I = 204, hkl 2 1 1
d = 1.375 Å, I = 130, hkl 3 3 2
d = 1.657 Å, I = 118, hkl 4 0 0

=====

This entry pairs a crystal structure of Mg8In3Ga2 with its theoretical XRD peak list. Radiation: Cu Kα (λ = 1.5418 Å). Structure: a crystal structure in Alexandria, relaxed with PBE.

Cell and atoms:
```
data_Mg8In3Ga2
_space_group_name_H-M_alt 'C m m m'
_space_group_IT_number 65
_space_group_name_Hall '-C 2 2'
_cell_length_a 9.368
_cell_length_b 14.327
_cell_length_c 4.626
_cell_angle_alpha 90.00
_cell_angle_beta 90.00
_cell_angle_gamma 90.00
loop_
_atom_site_label
_atom_site_type_symbol
_atom_site_fract_x
_atom_site_fract_y
_atom_site_fract_z
_atom_site_occupancy
Mg1 Mg 0.000 0.128 0.000 1
Mg2 Mg 0.000 0.349 0.000 1
Mg3 Mg 0.249 0.141 0.500 1
In1 In 0.000 0.500 0.500 1
In2 In 0.247 0.500 0.000 1
Ga1 Ga 0.000 0.243 0.500 1
```

Most intense lines, 2θ from 10° to 90°, by intensity:
d = 2.424 Å, I = 1000, hkl 2 4 1
d = 3.886 Å, I = 266, hkl 0 2 1
d = 3.920 Å, I = 261, hkl 2 2 0
d = 2.342 Å, I = 240, hkl 4 0 0
d = 2.313 Å, I = 232, hkl 0 0 2
d = 2.991 Å, I = 228, hkl 2 2 1
d = 7.841 Å, I = 221, hkl 1 1 0
d = 3.291 Å, I = 207, hkl 2 0 1
d = 7.164 Å, I = 201, hkl 0 2 0
d = 1.356 Å, I = 188, hkl 2 4 3

=====

This entry pairs a crystal structure of MgMoAs2Cl with its theoretical XRD peak list. Radiation: Cu Kα (λ = 1.5418 Å). Structure: a crystal structure in Alexandria, relaxed with PBE.

Cell and atoms:
```
data_MgMoAs2Cl
_space_group_name_H-M_alt 'P 4/m m m'
_space_group_IT_number 123
_space_group_name_Hall '-P 4 2'
_cell_length_a 5.078
_cell_length_b 5.078
_cell_length_c 4.367
_cell_angle_alpha 90.00
_cell_angle_beta 90.00
_cell_angle_gamma 90.00
loop_
_atom_site_label
_atom_site_type_symbol
_atom_site_fract_x
_atom_site_fract_y
_atom_site_fract_z
_atom_site_occupancy
Mg1 Mg 0.000 0.000 0.000 1
Mo1 Mo 0.500 0.500 0.000 1
As1 As 0.000 0.500 0.500 1
Cl1 Cl 0.500 0.500 0.500 1
```

Most intense lines, 2θ from 10° to 90°, by intensity:
d = 2.774 Å, I = 1000, hkl 1 1 1
d = 2.539 Å, I = 653, hkl 2 0 0
d = 5.078 Å, I = 478, hkl 1 0 0
d = 1.656 Å, I = 339, hkl 2 0 2
d = 1.507 Å, I = 308, hkl 3 1 1
d = 1.796 Å, I = 222, hkl 2 2 0
d = 2.184 Å, I = 208, hkl 0 0 2
d = 1.387 Å, I = 185, hkl 2 2 2
d = 2.271 Å, I = 109, hkl 2 1 0
d = 1.349 Å, I = 106, hkl 1 1 3

=====

This entry pairs a crystal structure of Cs2TeSO6 with its theoretical XRD peak list. Radiation: Cu Kα (λ = 1.5418 Å). Structure: a crystal structure in Alexandria, relaxed with PBE.

Cell and atoms:
```
data_Cs2TeSO6
_space_group_name_H-M_alt 'I 4/m m m'
_space_group_IT_number 139
_space_group_name_Hall '-I 4 2'
_cell_length_a 5.452
_cell_length_b 5.452
_cell_length_c 12.050
_cell_angle_alpha 90.00
_cell_angle_beta 90.00
_cell_angle_gamma 90.00
loop_
_atom_site_label
_atom_site_type_symbol
_atom_site_fract_x
_atom_site_fract_y
_atom_site_fract_z
_atom_site_occupancy
Cs1 Cs 0.000 0.500 0.250 1
Te1 Te 0.000 0.000 0.000 1
S1 S 0.000 0.000 0.500 1
O1 O 0.000 0.000 0.155 1
O2 O 0.231 0.231 0.500 1
```

Most intense lines, 2θ from 10° to 90°, by intensity:
d = 3.247 Å, I = 1000, hkl 1 1 2
d = 2.726 Å, I = 280, hkl 2 0 0
d = 1.658 Å, I = 276, hkl 3 1 2
d = 3.012 Å, I = 265, hkl 0 0 4
d = 1.781 Å, I = 206, hkl 1 1 6
d = 2.021 Å, I = 174, hkl 2 0 4
d = 4.967 Å, I = 171, hkl 1 0 1
d = 1.928 Å, I = 171, hkl 2 2 0
d = 1.624 Å, I = 156, hkl 2 2 4
d = 1.308 Å, I = 144, hkl 3 1 6

=====

This entry pairs a crystal structure of NbZn2Ag2 with its theoretical XRD peak list. Radiation: Cu Kα (λ = 1.5418 Å). Structure: a crystal structure in Alexandria, relaxed with PBE.

Cell and atoms:
```
data_NbZn2Ag2
_space_group_name_H-M_alt 'P 4/m b m'
_space_group_IT_number 127
_space_group_name_Hall '-P 4 2ab'
_cell_length_a 7.795
_cell_length_b 7.795
_cell_length_c 2.748
_cell_angle_alpha 90.00
_cell_angle_beta 90.00
_cell_angle_gamma 90.00
loop_
_atom_site_label
_atom_site_type_symbol
_atom_site_fract_x
_atom_site_fract_y
_atom_site_fract_z
_atom_site_occupancy
Nb1 Nb 0.000 0.000 0.000 1
Zn1 Zn 0.173 0.327 0.500 1
Ag1 Ag 0.128 0.628 0.000 1
```

Most intense lines, 2θ from 10° to 90°, by intensity:
d = 2.159 Å, I = 1000, hkl 2 1 1
d = 2.465 Å, I = 685, hkl 3 1 0
d = 2.753 Å, I = 215, hkl 0 0 1
d = 1.836 Å, I = 199, hkl 3 3 0
d = 2.246 Å, I = 190, hkl 2 0 1
d = 1.281 Å, I = 174, hkl 5 2 1
d = 1.336 Å, I = 144, hkl 5 1 1
d = 1.200 Å, I = 128, hkl 3 1 2
d = 1.699 Å, I = 102, hkl 3 2 1
d = 1.232 Å, I = 82, hkl 4 4 1

=====

This entry pairs a crystal structure of ZnH2PdRh with its theoretical XRD peak list. Radiation: Cu Kα (λ = 1.5418 Å). Structure: a crystal structure in Alexandria, relaxed with PBE.

Cell and atoms:
```
data_ZnH2PdRh
_space_group_name_H-M_alt 'I 4 m m'
_space_group_IT_number 107
_space_group_name_Hall 'I 4 -2'
_cell_length_a 3.038
_cell_length_b 3.038
_cell_length_c 10.719
_cell_angle_alpha 90.00
_cell_angle_beta 90.00
_cell_angle_gamma 90.00
loop_
_atom_site_label
_atom_site_type_symbol
_atom_site_fract_x
_atom_site_fract_y
_atom_site_fract_z
_atom_site_occupancy
Zn1 Zn 0.000 0.000 0.000 1
H1 H 0.000 0.500 0.233 1
Pd1 Pd 0.000 0.000 0.355 1
Rh1 Rh 0.000 0.000 0.644 1
```

Most intense lines, 2θ from 10° to 90°, by intensity:
d = 2.315 Å, I = 1000, hkl 1 0 3
d = 2.148 Å, I = 449, hkl 1 1 0
d = 1.270 Å, I = 277, hkl 2 1 3
d = 1.519 Å, I = 149, hkl 2 0 0
d = 1.374 Å, I = 118, hkl 1 1 6
d = 2.923 Å, I = 98, hkl 1 0 1
d = 1.676 Å, I = 73, hkl 1 1 4
d = 1.786 Å, I = 71, hkl 0 0 6
d = 2.680 Å, I = 70, hkl 0 0 4
d = 1.752 Å, I = 68, hkl 1 0 5

=====

This entry pairs a crystal structure of ErSc3Tl4 with its theoretical XRD peak list. Radiation: Cu Kα (λ = 1.5418 Å). Structure: a crystal structure in Alexandria, relaxed with PBE.

Cell and atoms:
```
data_ErSc3Tl4
_space_group_name_H-M_alt 'P m m a'
_space_group_IT_number 51
_space_group_name_Hall '-P 2a 2a'
_cell_length_a 10.378
_cell_length_b 7.221
_cell_length_c 5.188
_cell_angle_alpha 90.00
_cell_angle_beta 90.00
_cell_angle_gamma 90.00
loop_
_atom_site_label
_atom_site_type_symbol
_atom_site_fract_x
_atom_site_fract_y
_atom_site_fract_z
_atom_site_occupancy
Er1 Er 0.000 0.000 0.000 1
Sc1 Sc 0.000 0.500 0.000 1
Sc2 Sc 0.250 0.000 0.499 1
Sc3 Sc 0.250 0.500 0.499 1
Tl1 Tl 0.000 0.257 0.500 1
Tl2 Tl 0.250 0.257 0.999 1
```

Most intense lines, 2θ from 10° to 90°, by intensity:
d = 2.573 Å, I = 1000, hkl 2 2 1
d = 2.594 Å, I = 514, hkl 4 0 0
d = 1.494 Å, I = 376, hkl 6 2 1
d = 3.669 Å, I = 253, hkl 2 0 1
d = 1.834 Å, I = 185, hkl 4 0 2
d = 1.482 Å, I = 180, hkl 4 4 0
d = 3.610 Å, I = 120, hkl 0 2 0
d = 2.107 Å, I = 118, hkl 4 2 0
d = 1.287 Å, I = 113, hkl 4 4 2
d = 1.805 Å, I = 86, hkl 0 4 0

=====

This entry pairs a crystal structure of U3B7Mo with its theoretical XRD peak list. Radiation: Cu Kα (λ = 1.5418 Å). Structure: a crystal structure in Alexandria, relaxed with PBE.

Cell and atoms:
```
data_U3B7Mo
_space_group_name_H-M_alt 'C m c m'
_space_group_IT_number 63
_space_group_name_Hall '-C 2c 2'
_cell_length_a 3.571
_cell_length_b 15.601
_cell_length_c 9.293
_cell_angle_alpha 90.00
_cell_angle_beta 90.00
_cell_angle_gamma 90.00
loop_
_atom_site_label
_atom_site_type_symbol
_atom_site_fract_x
_atom_site_fract_y
_atom_site_fract_z
_atom_site_occupancy
U1 U 0.000 0.107 0.062 1
U2 U 0.000 0.253 0.750 1
B1 B 0.000 0.274 0.032 1
B2 B 0.000 0.365 0.151 1
B3 B 0.000 0.456 0.750 1
B4 B 0.000 0.479 0.091 1
Mo1 Mo 0.000 0.054 0.750 1
```

Most intense lines, 2θ from 10° to 90°, by intensity:
d = 2.314 Å, I = 1000, hkl 1 1 3
d = 2.987 Å, I = 922, hkl 0 4 2
d = 3.481 Å, I = 819, hkl 1 1 0
d = 2.879 Å, I = 621, hkl 0 2 3
d = 2.806 Å, I = 527, hkl 1 3 1
d = 2.278 Å, I = 460, hkl 1 5 1
d = 2.350 Å, I = 445, hkl 1 5 0
d = 1.614 Å, I = 379, hkl 1 7 3
d = 2.600 Å, I = 357, hkl 0 6 0
d = 1.479 Å, I = 331, hkl 0 10 2

=====

This entry pairs a crystal structure of Nd4GaRh3 with its theoretical XRD peak list. Radiation: Cu Kα (λ = 1.5418 Å). Structure: a crystal structure in Alexandria, relaxed with PBE.

Cell and atoms:
```
data_Nd4GaRh3
_space_group_name_H-M_alt 'P m m 2'
_space_group_IT_number 25
_space_group_name_Hall 'P 2 -2'
_cell_length_a 3.934
_cell_length_b 4.431
_cell_length_c 10.966
_cell_angle_alpha 90.00
_cell_angle_beta 90.00
_cell_angle_gamma 90.00
loop_
_atom_site_label
_atom_site_type_symbol
_atom_site_fract_x
_atom_site_fract_y
_atom_site_fract_z
_atom_site_occupancy
Nd1 Nd 0.000 0.000 0.000 1
Nd2 Nd 0.000 0.500 0.268 1
Nd3 Nd 0.500 0.000 0.480 1
Nd4 Nd 0.500 0.500 0.776 1
Ga1 Ga 0.000 0.000 0.697 1
Rh1 Rh 0.000 0.500 0.564 1
Rh2 Rh 0.500 0.000 0.218 1
Rh3 Rh 0.500 0.500 0.043 1
```

Most intense lines, 2θ from 10° to 90°, by intensity:
d = 2.842 Å, I = 1000, hkl 1 1 1
d = 2.292 Å, I = 578, hkl 1 1 3
d = 2.678 Å, I = 318, hkl 1 0 3
d = 2.216 Å, I = 291, hkl 0 2 0
d = 2.741 Å, I = 253, hkl 0 0 4
d = 2.331 Å, I = 232, hkl 0 1 4
d = 1.967 Å, I = 211, hkl 2 0 0
d = 1.707 Å, I = 199, hkl 1 2 3
d = 1.471 Å, I = 157, hkl 2 2 0
d = 1.216 Å, I = 137, hkl 1 2 7

=====

This entry pairs a crystal structure of Na8B11C5 with its theoretical XRD peak list. Radiation: Cu Kα (λ = 1.5418 Å). Structure: a crystal structure in Alexandria, relaxed with PBE.

Cell and atoms:
```
data_Na8B11C5
_space_group_name_H-M_alt 'F m m 2'
_space_group_IT_number 42
_space_group_name_Hall 'F 2 -2'
_cell_length_a 5.642
_cell_length_b 17.198
_cell_length_c 10.234
_cell_angle_alpha 90.00
_cell_angle_beta 90.00
_cell_angle_gamma 90.00
loop_
_atom_site_label
_atom_site_type_symbol
_atom_site_fract_x
_atom_site_fract_y
_atom_site_fract_z
_atom_site_occupancy
Na1 Na 0.000 0.123 0.000 1
Na2 Na 0.000 0.124 0.500 1
Na3 Na 0.250 0.124 0.249 1
B1 B 0.000 0.000 0.171 1
B2 B 0.000 0.000 0.340 1
B3 B 0.000 0.000 0.835 1
B4 B 0.000 0.250 0.161 1
B5 B 0.000 0.250 0.325 1
B6 B 0.242 0.000 0.577 1
B7 B 0.250 0.250 0.432 1
C1 C 0.000 0.000 0.669 1
C2 C 0.249 0.000 0.418 1
C3 C 0.250 0.250 0.081 1
```

Most intense lines, 2θ from 10° to 90°, by intensity:
d = 2.142 Å, I = 1000, hkl 2 4 2
d = 2.199 Å, I = 487, hkl 0 4 4
d = 2.150 Å, I = 382, hkl 0 8 0
d = 1.460 Å, I = 176, hkl 2 0 6
d = 1.208 Å, I = 171, hkl 2 8 6
d = 2.471 Å, I = 162, hkl 2 0 2
d = 1.240 Å, I = 129, hkl 2 12 2
d = 2.558 Å, I = 113, hkl 0 0 4
d = 1.187 Å, I = 98, hkl 4 4 4
d = 1.622 Å, I = 93, hkl 2 8 2

=====

This entry pairs a crystal structure of Tm3Np3TiN8 with its theoretical XRD peak list. Radiation: Cu Kα (λ = 1.5418 Å). Structure: a crystal structure in Alexandria, relaxed with PBE.

Cell and atoms:
```
data_Tm3Np3TiN8
_space_group_name_H-M_alt 'R -3 m'
_space_group_IT_number 166
_space_group_name_Hall '-R 3 2"'
_cell_length_a 6.6843
_cell_length_b 6.6843
_cell_length_c 16.5455
_cell_angle_alpha 90.00
_cell_angle_beta 90.00
_cell_angle_gamma 120.00
loop_
_atom_site_label
_atom_site_type_symbol
_atom_site_fract_x
_atom_site_fract_y
_atom_site_fract_z
_atom_site_occupancy
Tm1 Tm 0.0000 0.5000 0.0000 1
Np1 Np 0.0000 0.5000 0.5000 1
Ti1 Ti 0.0000 0.0000 0.5000 1
N1 N 0.0000 0.0000 0.2528 1
N2 N 0.0248 0.5124 0.2387 1
```

Most intense lines, 2θ from 10° to 90°, by intensity:
d = 2.732 Å, I = 1000, hkl 2 0 2
d = 2.371 Å, I = 949, hkl 0 2 4
d = 4.743 Å, I = 367, hkl 0 1 2
d = 2.758 Å, I = 344, hkl 0 0 6
d = 1.683 Å, I = 325, hkl 2 0 8
d = 1.671 Å, I = 321, hkl 2 2 0
d = 1.429 Å, I = 302, hkl 2 2 6
d = 1.366 Å, I = 162, hkl 4 0 4
d = 3.365 Å, I = 160, hkl 1 0 4
d = 3.342 Å, I = 159, hkl 1 1 0

=====

This entry pairs a crystal structure of Nd10ErTm6 with its theoretical XRD peak list. Radiation: Cu Kα (λ = 1.5418 Å). Structure: a crystal structure in Alexandria, relaxed with PBE.

Cell and atoms:
```
data_Nd10ErTm6
_space_group_name_H-M_alt 'P -3 1 m'
_space_group_IT_number 162
_space_group_name_Hall '-P 3 2'
_cell_length_a 9.8029
_cell_length_b 9.8029
_cell_length_c 6.8796
_cell_angle_alpha 90.00
_cell_angle_beta 90.00
_cell_angle_gamma 120.00
loop_
_atom_site_label
_atom_site_type_symbol
_atom_site_fract_x
_atom_site_fract_y
_atom_site_fract_z
_atom_site_occupancy
Nd1 Nd 0.0000 0.2757 0.3175 1
Nd2 Nd 0.3333 0.6667 0.0000 1
Nd3 Nd 0.3333 0.6667 0.5000 1
Er1 Er 0.0000 0.0000 0.0000 1
Tm1 Tm 0.0000 0.3673 0.8146 1
```

Most intense lines, 2θ from 10° to 90°, by intensity:
d = 2.816 Å, I = 1000, hkl 1 1 2
d = 2.830 Å, I = 813, hkl 3 0 0
d = 2.908 Å, I = 379, hkl 3 -1 1
d = 1.996 Å, I = 271, hkl 4 -2 2
d = 1.631 Å, I = 193, hkl 4 1 2
d = 1.623 Å, I = 189, hkl 2 -1 4
d = 1.874 Å, I = 132, hkl 3 2 1
d = 1.489 Å, I = 109, hkl 6 -1 1
d = 3.612 Å, I = 93, hkl 2 0 1
d = 2.228 Å, I = 85, hkl 4 -1 1